Record 1
Simulated powder diffractogram of Pa5Ge5Pd2 for Cu Ka, from a cell relaxed with GGA-PBE.
Lines closer than 0.1° are merged.

Structural model:
a b c (Å): 7.7484 7.7484 10.9853
angles (deg): 129.52 129.52 31.45
Positions (direct):
Pa 0.0000 0.0000 0.0000
Pa 0.3143 0.3143 0.3980
Pa 0.3636 0.3636 0.1956
Pa 0.6364 0.6364 0.8044
Pa 0.6857 0.6857 0.6020
Ge 0.0000 0.0000 0.5000
Ge 0.0600 0.0600 0.3247
Ge 0.3106 0.3106 0.8871
Ge 0.6894 0.6894 0.1129
Ge 0.9400 0.9400 0.6753
Pd 0.3765 0.3765 0.7229
Pd 0.6235 0.6235 0.2771

Peak list (6 most intense, 2θ from 10° to 90°, in order of rising 2θ)
22.66 deg, I 327; 32.09 deg, I 1000; 35.05 deg, I 695; 40.87 deg, I 718; 43.07 deg, I 316; 56.71 deg, I 217

***

Record 2
Simulated powder diffractogram of Pa3Ge3Pd for Cu Ka, from a cell relaxed with GGA-PBE.
Lines closer than 0.1° are merged.

Structural model:
a b c (Å): 6.4563 6.4563 7.6536
angles (deg): 93.56 93.56 102.63
Positions (direct):
Pa 0.1849 0.8151 0.0000
Pa 0.2389 0.7611 0.5000
Pa 0.3976 0.3976 0.1287
Pa 0.6024 0.6024 0.8713
Pa 0.7611 0.2389 0.5000
Pa 0.8151 0.1849 0.0000
Ge 0.0660 0.0660 0.2951
Ge 0.1244 0.4256 0.7722
Ge 0.4256 0.1244 0.7722
Ge 0.5744 0.8756 0.2278
Ge 0.8756 0.5744 0.2278
Ge 0.9340 0.9340 0.7049
Pd 0.3300 0.3300 0.5014
Pd 0.6700 0.6700 0.4986

Peak list (6 most intense, 2θ from 10° to 90°, in order of rising 2θ)
28.80 deg, I 335; 31.60 deg, I 580; 34.02 deg, I 354; 35.61 deg, I 1000; 38.13 deg, I 297; 48.84 deg, I 269

***

Record 3
Simulated powder diffractogram of Pa5Ge5Pd2 for Cu Ka, from a cell relaxed with GGA-PBE.
Lines closer than 0.1° are merged.

Structural model:
a b c (Å): 7.1878 7.1878 10.9174
angles (deg): 118.79 118.79 32.82
Positions (direct):
Pa 0.0000 0.0000 0.0000
Pa 0.1599 0.1599 0.5225
Pa 0.1601 0.1601 0.7738
Pa 0.8399 0.8399 0.2262
Pa 0.8401 0.8401 0.4775
Ge 0.1948 0.1948 0.2741
Ge 0.3741 0.3741 0.0556
Ge 0.5000 0.5000 0.5000
Ge 0.6259 0.6259 0.9444
Ge 0.8052 0.8052 0.7259
Pd 0.4359 0.4359 0.7097
Pd 0.5641 0.5641 0.2903

Peak list (6 most intense, 2θ from 10° to 90°, in order of rising 2θ)
26.43 deg, I 534; 31.49 deg, I 629; 34.10 deg, I 1000; 36.14 deg, I 767; 38.13 deg, I 464; 44.63 deg, I 508

***

Record 4
Simulated powder diffractogram of Pa4Ge8Pd for Cu Ka, from a cell relaxed with GGA-PBE.
Lines closer than 0.1° are merged.

Structural model:
a b c (Å): 4.0516 4.1213 16.2443
angles (deg): 90.00 90.00 90.00
Positions (direct):
Pa 0.0000 0.0000 0.0000
Pa 0.0000 0.5000 0.4808
Pa 0.5000 0.0000 0.7929
Pa 0.5000 0.5000 0.2777
Ge 0.0000 0.0000 0.3228
Ge 0.0000 0.0000 0.6166
Ge 0.0000 0.5000 0.1396
Ge 0.0000 0.5000 0.8571
Ge 0.5000 0.0000 0.1388
Ge 0.5000 0.0000 0.4319
Ge 0.5000 0.5000 0.6158
Ge 0.5000 0.5000 0.9577
Pd 0.0000 0.5000 0.7062

Peak list (6 most intense, 2θ from 10° to 90°, in order of rising 2θ)
24.55 deg, I 197; 31.45 deg, I 117; 35.20 deg, I 1000; 40.05 deg, I 119; 43.94 deg, I 158; 44.74 deg, I 152

***

Record 5
Simulated powder diffractogram of Pa2Ge3Pt5 for Cu Ka, from a cell relaxed with GGA-PBE.
Lines closer than 0.1° are merged.

Structural model:
a b c (Å): 12.2398 12.2398 7.2254
angles (deg): 90.00 90.00 159.96
Positions (direct):
Pa 0.0263 0.9737 0.5000
Pa 0.3216 0.6784 0.4312
Pa 0.6784 0.3216 0.9312
Pa 0.9737 0.0263 0.0000
Ge 0.1105 0.8895 0.1640
Ge 0.2858 0.7142 0.9101
Ge 0.4544 0.5456 0.3327
Ge 0.5456 0.4544 0.8327
Ge 0.7142 0.2858 0.4101
Ge 0.8895 0.1105 0.6640
Pt 0.1042 0.8958 0.7966
Pt 0.2053 0.7947 0.6296
Pt 0.2174 0.7826 0.1982
Pt 0.3879 0.6121 0.0337
Pt 0.4468 0.5532 0.6975
Pt 0.5532 0.4468 0.1975
Pt 0.6121 0.3879 0.5337
Pt 0.7826 0.2174 0.6982
Pt 0.7947 0.2053 0.1296
Pt 0.8958 0.1042 0.2966

Peak list (6 most intense, 2θ from 10° to 90°, in order of rising 2θ)
34.41 deg, I 1000; 35.76 deg, I 890; 37.60 deg, I 488; 39.75 deg, I 267; 42.45 deg, I 546; 47.33 deg, I 236

***

Record 6
Simulated powder diffractogram of Pa4Ge8Pt for Cu Ka, from a cell relaxed with GGA-PBE.
Lines closer than 0.1° are merged.

Structural model:
a b c (Å): 4.0550 4.1220 16.2577
angles (deg): 90.00 90.00 90.00
Positions (direct):
Pa 0.0000 0.0000 0.0000
Pa 0.0000 0.5000 0.4808
Pa 0.5000 0.0000 0.7915
Pa 0.5000 0.5000 0.2778
Ge 0.0000 0.0000 0.3229
Ge 0.0000 0.0000 0.6162
Ge 0.0000 0.5000 0.1398
Ge 0.0000 0.5000 0.8593
Ge 0.5000 0.0000 0.1389
Ge 0.5000 0.0000 0.4317
Ge 0.5000 0.5000 0.6157
Ge 0.5000 0.5000 0.9592
Pt 0.0000 0.5000 0.7081

Peak list (6 most intense, 2θ from 10° to 90°, in order of rising 2θ)
24.53 deg, I 160; 31.43 deg, I 160; 35.18 deg, I 1000; 40.02 deg, I 131; 43.93 deg, I 171; 44.70 deg, I 169

***

Record 7
Simulated powder diffractogram of PaGe2RuPt2 for Cu Ka, from a cell relaxed with GGA-PBE.
Lines closer than 0.1° are merged.

Structural model:
a b c (Å): 6.6562 5.4137 6.7948
angles (deg): 90.00 114.18 90.00
Positions (direct):
Pa 0.1455 0.2500 0.2465
Pa 0.8545 0.7500 0.7535
Ge 0.0669 0.7500 0.4324
Ge 0.3484 0.7500 0.9915
Ge 0.6516 0.2500 0.0085
Ge 0.9331 0.2500 0.5676
Ru 0.2273 0.2500 0.9387
Ru 0.7727 0.7500 0.0613
Pt 0.4173 0.5020 0.6632
Pt 0.4173 0.9980 0.6632
Pt 0.5827 0.0020 0.3368
Pt 0.5827 0.4980 0.3368

Peak list (6 most intense, 2θ from 10° to 90°, in order of rising 2θ)
31.69 deg, I 695; 36.34 deg, I 961; 37.97 deg, I 1000; 39.92 deg, I 628; 41.52 deg, I 880; 42.82 deg, I 686

***

Record 8
Simulated powder diffractogram of Pu2Pa3Ge3 for Cu Ka, from a cell relaxed with GGA-PBE.
Lines closer than 0.1° are merged.

Structural model:
a b c (Å): 3.6979 5.0100 18.7617
angles (deg): 90.00 90.00 90.00
Positions (direct):
Pu 0.0000 0.0000 0.2327
Pu 0.0000 0.0000 0.7673
Pu 0.5000 0.5000 0.2673
Pu 0.5000 0.5000 0.7327
Pa 0.0000 0.0000 0.5000
Pa 0.0000 0.5000 0.3739
Pa 0.0000 0.5000 0.6261
Pa 0.5000 0.0000 0.1261
Pa 0.5000 0.0000 0.8739
Pa 0.5000 0.5000 0.0000
Ge 0.0000 0.0000 0.0000
Ge 0.0000 0.5000 0.1382
Ge 0.0000 0.5000 0.8618
Ge 0.5000 0.0000 0.3618
Ge 0.5000 0.0000 0.6382
Ge 0.5000 0.5000 0.5000

Peak list (6 most intense, 2θ from 10° to 90°, in order of rising 2θ)
22.74 deg, I 216; 35.74 deg, I 1000; 35.85 deg, I 268; 38.38 deg, I 163; 53.53 deg, I 127; 64.35 deg, I 186

***

Record 9
Simulated powder diffractogram of PuPaGe2 for Cu Ka, from a cell relaxed with GGA-PBE.
Lines closer than 0.1° are merged.

Structural model:
a b c (Å): 5.9987 5.9967 10.3853
angles (deg): 90.00 98.95 90.00
Positions (direct):
Pu 0.2008 0.1719 0.1168
Pu 0.2008 0.8281 0.6168
Pu 0.7992 0.1719 0.3832
Pu 0.7992 0.8281 0.8832
Pa 0.2958 0.3234 0.8857
Pa 0.2958 0.6766 0.3857
Pa 0.7042 0.3234 0.6143
Pa 0.7042 0.6766 0.1143
Ge 0.1957 0.3358 0.6023
Ge 0.1957 0.6642 0.1023
Ge 0.3095 0.1702 0.3986
Ge 0.3095 0.8298 0.8986
Ge 0.6905 0.1702 0.1014
Ge 0.6905 0.8298 0.6014
Ge 0.8043 0.3358 0.8977
Ge 0.8043 0.6642 0.3977

Peak list (6 most intense, 2θ from 10° to 90°, in order of rising 2θ)
23.69 deg, I 567; 30.16 deg, I 645; 31.08 deg, I 522; 34.99 deg, I 589; 39.99 deg, I 462; 42.87 deg, I 1000

***

Record 10
Simulated powder diffractogram of Pu4PaGe for Cu Ka, from a cell relaxed with GGA-PBE.
Lines closer than 0.1° are merged.

Structural model:
a b c (Å): 7.6692 7.6692 5.9367
angles (deg): 96.86 96.86 134.29
Positions (direct):
Pu 0.1151 0.3092 0.3114
Pu 0.2068 0.3319 0.9523
Pu 0.3092 0.1151 0.8114
Pu 0.3319 0.2068 0.4523
Pu 0.6681 0.7932 0.5477
Pu 0.6908 0.8849 0.1886
Pu 0.7932 0.6681 0.0477
Pu 0.8849 0.6908 0.6886
Pa 0.2167 0.7833 0.2500
Pa 0.7833 0.2167 0.7500
Ge 0.2903 0.7097 0.7500
Ge 0.7097 0.2903 0.2500

Peak list (6 most intense, 2θ from 10° to 90°, in order of rising 2θ)
12.53 deg, I 449; 31.38 deg, I 928; 31.85 deg, I 519; 34.08 deg, I 1000; 38.21 deg, I 448; 50.01 deg, I 412

***

Record 11
Simulated powder diffractogram of Pu6PaGe6 for Cu Ka, from a cell relaxed with GGA-PBE.
Lines closer than 0.1° are merged.

Structural model:
a b c (Å): 6.0269 8.9429 6.2037
angles (deg): 90.00 117.18 90.00
Positions (direct):
Pu 0.0000 0.1822 0.0000
Pu 0.0000 0.2587 0.5000
Pu 0.0000 0.7413 0.5000
Pu 0.0000 0.8178 0.0000
Pu 0.5000 0.2989 0.5000
Pu 0.5000 0.7011 0.5000
Pa 0.5000 0.5000 0.0000
Ge 0.0787 0.5000 0.2207
Ge 0.2833 0.0000 0.4823
Ge 0.5000 0.1638 0.0000
Ge 0.5000 0.8362 0.0000
Ge 0.7167 0.0000 0.5177
Ge 0.9213 0.5000 0.7793

Peak list (6 most intense, 2θ from 10° to 90°, in order of rising 2θ)
19.86 deg, I 429; 32.45 deg, I 867; 33.43 deg, I 748; 34.19 deg, I 1000; 34.39 deg, I 749; 42.68 deg, I 428

***

Record 12
Simulated powder diffractogram of PuPa4Ge for Cu Ka, from a cell relaxed with GGA-PBE.
Lines closer than 0.1° are merged.

Structural model:
a b c (Å): 6.5303 6.5303 6.8346
angles (deg): 90.00 90.00 90.00
Positions (direct):
Pu 0.0000 0.0000 0.0000
Pu 0.0000 0.0000 0.5000
Pa 0.2308 0.3334 0.3888
Pa 0.2308 0.6666 0.1112
Pa 0.3334 0.2308 0.8888
Pa 0.3334 0.7692 0.6112
Pa 0.6666 0.2308 0.6112
Pa 0.6666 0.7692 0.8888
Pa 0.7692 0.3334 0.1112
Pa 0.7692 0.6666 0.3888
Ge 0.0000 0.5000 0.7500
Ge 0.5000 0.0000 0.2500

Peak list (6 most intense, 2θ from 10° to 90°, in order of rising 2θ)
30.61 deg, I 316; 32.60 deg, I 1000; 33.36 deg, I 533; 39.01 deg, I 257; 40.64 deg, I 257; 61.23 deg, I 221